1.
Computed X-ray diffraction stick pattern of Li4TiFe3O8 for Cu Kα (weighted mean of Kα1 and Kα2), from a crystal structure in Alexandria, relaxed with GGA+U.

Largest 10 diffraction maxima, most intense first, 2θ from 10° to 90°:
- 22.2°, 4.001 Å, I = 100.0
- 35.5°, 2.528 Å, I = 53.1
- 20.8°, 4.265 Å, I = 40.7
- 20.5°, 4.326 Å, I = 39.1
- 36.1°, 2.485 Å, I = 34.7
- 31.7°, 2.820 Å, I = 32.4
- 31.4°, 2.845 Å, I = 28.5
- 31.3°, 2.855 Å, I = 28.2
- 56.4°, 1.631 Å, I = 20.7
- 64.2°, 1.452 Å, I = 19.3

Structure:
```
16
Lattice="5.056 0.000 0.000 -0.020 5.691 0.000 -0.020 -0.094 6.547" Properties=species:S:1:pos:R:3 pbc="T T T"
Li 0.000 0.000 0.000
Li -0.022 2.764 4.892
Li 2.562 0.938 1.600
Li 2.553 3.701 3.245
Ti 2.573 0.842 4.881
Fe 0.002 2.793 1.633
Fe 2.543 3.680 6.519
Fe 4.991 5.570 3.161
O 1.948 2.885 1.525
O 2.000 5.525 6.367
O 2.019 2.637 4.976
O 2.056 0.018 3.348
O 4.379 0.846 4.909
O 4.463 3.759 0.051
O 4.546 0.993 1.594
O 4.544 3.646 3.235
```

2.
Computed X-ray diffraction stick pattern of Na5CoO4 for Cu Kα (weighted mean of Kα1 and Kα2), from a crystal structure in Alexandria, relaxed with GGA+U.

Largest 10 diffraction maxima, most intense first, 2θ from 10° to 90°:
- 38.3°, 2.350 Å, I = 100.0
- 18.9°, 4.700 Å, I = 97.5
- 33.5°, 2.671 Å, I = 85.5
- 40.8°, 2.213 Å, I = 75.4
- 35.6°, 2.523 Å, I = 70.1
- 41.2°, 2.192 Å, I = 62.8
- 47.4°, 1.919 Å, I = 62.0
- 18.6°, 4.768 Å, I = 57.5
- 20.9°, 4.253 Å, I = 55.5
- 31.6°, 2.828 Å, I = 51.8

Structure:
```
20
Lattice="7.674 0.000 0.000 0.000 6.084 0.000 0.000 0.000 5.946" Properties=species:S:1:pos:R:3 pbc="T T T"
Na 0.000 1.057 0.000
Na 1.413 3.452 4.070
Na 1.533 0.694 2.978
Na 2.304 5.391 0.005
Na 2.424 2.632 1.097
Na 3.837 5.027 2.973
Na 5.250 2.632 1.097
Na 5.370 5.391 0.005
Na 6.141 0.694 2.978
Na 6.261 3.452 4.070
Co 0.000 4.109 1.489
Co 3.837 1.975 4.462
O 0.000 2.268 2.092
O 0.000 4.585 5.611
O 1.696 4.685 2.112
O 2.141 1.399 5.086
O 3.837 1.499 2.638
O 3.837 3.816 5.065
O 5.533 1.399 5.086
O 5.978 4.685 2.112
```